Entry 1:
Structure and theoretical PXRD pattern of Nb4AsAuN2 (DFT lattice parameters and positions (PBE); λ = 1.5418 Å (Cu Kα)).
Lines closer than 0.1° are merged.

Structure:
Lattice parameters (Å, degrees): 3.2737 3.2737 12.6879 90.00 90.00 120.00
Space group P-6m2 (No. 187)
Symmetry-distinct sites (fractional):
Nb 0.0000 0.0000 0.1488
Nb 0.3333 0.6667 0.3249
As 0.3333 0.6667 0.0000
Au 0.0000 0.0000 0.5000
N 0.6667 0.3333 0.2440

Main lines, most intense first (15 to 90 degrees two-theta):
hkl	two_theta	I (rel.)
1 0 3	38.22	100.0
1 0 0	31.56	27.1
1 1 0	56.20	23.6
2 0 3	70.00	16.5
1 1 6	73.11	16.1
0 0 6	42.76	13.2
1 0 6	54.10	12.9
1 0 2	34.66	12.5
1 0 9	75.28	9.7
1 0 8	67.70	7.4
1 0 5	48.12	5.8
0 0 5	35.37	4.4



Entry 2:
Structure and theoretical PXRD pattern of Na5As2Au (DFT lattice parameters and positions (PBE); λ = 1.5418 Å (Cu Kα)).
Lines closer than 0.1° are merged.

Structure:
Lattice parameters (Å, degrees): 5.0655 5.0655 17.9039 90.00 90.00 120.00
Space group P6_3/mmc (No. 194)
Symmetry-distinct sites (fractional):
Na 0.0000 0.0000 0.1402
Na 0.3333 0.6667 0.0534
Na 0.3333 0.6667 0.2500
As 0.3333 0.6667 0.6116
Au 0.3333 0.6667 0.7500

Main lines, most intense first (15 to 90 degrees two-theta):
hkl	two_theta	I (rel.)
1 0 1	20.85	100.0
1 1 0	35.44	60.9
1 0 7	40.84	35.5
1 0 0	20.24	29.4
1 1 6	47.06	20.6
2 0 1	41.48	17.4
1 1 8	54.73	17.3
1 0 6	36.41	17.3
2 1 7	67.30	16.3
2 1 1	55.67	14.9
2 0 7	55.16	14.7
3 0 0	63.64	14.2



Entry 3:
Structure and theoretical PXRD pattern of RbNaAsAu (DFT lattice parameters and positions (PBE); λ = 1.5418 Å (Cu Kα)).
Lines closer than 0.1° are merged.

Structure:
Lattice parameters (Å, degrees): 6.3550 7.5305 9.7791 90.00 90.00 90.00
Space group Ama2 (No. 40)
Symmetry-distinct sites (fractional):
Rb 0.2500 0.1562 0.0000
Na 0.2500 0.1540 0.3532
As 0.2500 0.2587 0.6614
Au 0.0000 0.0000 0.6823

Main lines, most intense first (15 to 90 degrees two-theta):
hkl	two_theta	I (rel.)
2 2 0	37.00	100.0
2 1 1	31.91	93.2
0 1 3	29.89	91.6
0 0 2	18.14	76.4
2 2 2	41.51	71.0
1 1 3	33.11	55.8
2 3 3	54.43	32.8
2 0 2	33.64	31.7
2 2 4	53.16	27.7
0 4 2	52.05	22.9
2 1 5	56.59	21.8
4 1 3	66.67	18.9